(1)
Sr3Fe2S2O5: calculated powder XRD pattern (copper Kα), based on DFT lattice parameters and positions (GGA+U).
Neutral-atom scattering factors, no anomalous dispersion.

Most intense lines, 2θ from 10° to 80°, sorted by position:
two_theta  I (rel.)  hkl
15.26  163  0 0 4
29.38  324  1 0 5
31.47  889  1 1 0
35.07  1000  1 0 7
39.32  403  1 1 6
45.10  550  2 0 0
46.96  149  0 0 12
57.62  163  1 1 12
58.38  436  2 1 7
65.68  164  2 2 0
67.14  187  2 0 12
74.65  145  3 1 0

Atomic structure:
```
data_Sr3Fe2S2O5
_symmetry_space_group_name_H-M 'I 4/m m m'
_symmetry_Int_Tables_number 139
_symmetry_space_group_name_Hall '-I 4 2'
_cell_length_a 4.021
_cell_length_b 4.021
_cell_length_c 23.219
_cell_angle_alpha 90.00
_cell_angle_beta 90.00
_cell_angle_gamma 90.00
loop_
_atom_site_label
_atom_site_type_symbol
_atom_site_fract_x
_atom_site_fract_y
_atom_site_fract_z
Sr1 Sr 0.000 0.000 0.000
Sr2 Sr 0.000 0.000 0.159
Fe1 Fe 0.000 0.000 0.417
S1 S 0.000 0.000 0.309
O1 O 0.000 0.000 0.500
O2 O 0.000 0.500 0.085
```

***

(2)
SrFe2S2O: calculated powder XRD pattern (copper Kα), based on DFT lattice parameters and positions (GGA+U).
Neutral-atom scattering factors, no anomalous dispersion.

Most intense lines, 2θ from 10° to 80°, sorted by position:
two_theta  I (rel.)  hkl
22.84  929  0 1 2
27.96  921  1 1 1
33.22  309  0 2 2
35.77  1000  1 0 3
37.03  426  1 2 1
39.53  194  0 1 4
40.47  173  1 2 2
45.86  320  2 0 0
47.99  177  1 3 0
51.81  218  2 1 2
56.19  302  1 3 3
60.16  198  1 2 5

Atomic structure:
```
data_SrFe2S2O
_symmetry_space_group_name_H-M 'P m n 21'
_symmetry_Int_Tables_number 31
_cell_length_a 3.958
_cell_length_b 6.479
_cell_length_c 9.741
_cell_angle_alpha 90.00
_cell_angle_beta 90.00
_cell_angle_gamma 90.00
loop_
_symmetry_equiv_pos_as_xyz
'x,y,z'
'-x+1/2,-y,z+1/2'
'-x,y,z'
'x+1/2,-y,z+1/2'
loop_
_atom_site_label
_atom_site_type_symbol
_atom_site_fract_x
_atom_site_fract_y
_atom_site_fract_z
Sr1 Sr 0.000 0.026 0.000
Fe1 Fe 0.000 0.368 0.331
Fe2 Fe 0.000 0.368 0.666
S1 S 0.000 0.739 0.698
S2 S 0.000 0.740 0.299
O1 O 0.000 0.208 0.498
```